(1)
This entry pairs a crystal structure of LaTiSe3 with its simulated powder XRD pattern. Radiation: Cu Kα. Structure: a crystal structure in Alexandria, relaxed with PBE.
Kinematic intensities with the Lorentz-polarization factor, no thermal factor.

Atomic structure:
```
LaTiSe3
1.0
8.3506 0.0000 0.0000
0.0000 3.9485 0.0000
0.0000 0.0000 14.0561
La Ti Se
4 4 12
Direct
0.0841 0.2500 0.1705 La
0.4159 0.7500 0.6705 La
0.5841 0.2500 0.3295 La
0.9159 0.7500 0.8295 La
0.1441 0.7500 0.4524 Ti
0.3559 0.2500 0.9524 Ti
0.6441 0.7500 0.0476 Ti
0.8559 0.2500 0.5476 Ti
0.0265 0.7500 0.6165 Se
0.1610 0.7500 0.0069 Se
0.1997 0.2500 0.7897 Se
0.3003 0.7500 0.2897 Se
0.3390 0.2500 0.5069 Se
0.4735 0.2500 0.1165 Se
0.5265 0.7500 0.8835 Se
0.6610 0.7500 0.4931 Se
0.6997 0.2500 0.7103 Se
0.8003 0.7500 0.2103 Se
0.8390 0.2500 0.9931 Se
0.9735 0.2500 0.3835 Se
```

Most intense lines, 5 to 70 degrees two-theta, in order of rising 2θ:
2θ (°)  I/Imax
31.5  74
31.8  77
33.3  33
33.6  43
33.7  100
34.7  26
39.3  39
41.4  18
46.0  41
58.2  18

(2)
This entry pairs a crystal structure of LaTiSe3 with its simulated powder XRD pattern. Radiation: Cu Kα. Structure: a crystal structure in Alexandria, relaxed with PBE.
Kinematic intensities with the Lorentz-polarization factor, no thermal factor.

Atomic structure:
```
LaTiSe3
1.0
9.3433 0.0000 0.0000
0.0000 7.6558 0.0000
-3.9003 0.0000 7.6777
La Ti Se
4 4 12
Direct
0.1137 0.2192 0.0544 La
0.1137 0.2808 0.5544 La
0.8863 0.7192 0.4456 La
0.8863 0.7808 0.9456 La
0.3282 0.6085 0.9184 Ti
0.3282 0.8915 0.4184 Ti
0.6718 0.1085 0.5816 Ti
0.6718 0.3915 0.0816 Ti
0.0199 0.5138 0.7897 Se
0.0199 0.9862 0.2897 Se
0.2604 0.6741 0.6114 Se
0.2604 0.8259 0.1114 Se
0.3831 0.2132 0.4484 Se
0.3831 0.2868 0.9484 Se
0.6169 0.7132 0.0516 Se
0.6169 0.7868 0.5516 Se
0.7396 0.1741 0.8886 Se
0.7396 0.3259 0.3886 Se
0.9801 0.0138 0.7103 Se
0.9801 0.4862 0.2103 Se
```

Most intense lines, 5 to 70 degrees two-theta, in order of rising 2θ:
2θ (°)  I/Imax
10.6  100
16.4  68
23.2  84
31.3  61
32.0  55
32.2  85
33.0  81
33.2  62
34.4  85
42.0  61

(3)
This entry pairs a crystal structure of La2TiTl3Se6 with its simulated powder XRD pattern. Radiation: Cu Kα. Structure: a crystal structure in Alexandria, relaxed with PBE.
Kinematic intensities with the Lorentz-polarization factor, no thermal factor.

Atomic structure:
```
La2TiTl3Se6
1.0
3.6630 -6.3328 0.0000
3.6630 6.3328 0.0000
-2.4626 0.0000 7.7077
La Ti Tl Se
2 1 3 6
Direct
0.1652 0.8348 0.0000 La
0.8348 0.1652 0.0000 La
0.5000 0.5000 0.0000 Ti
0.0000 0.0000 0.5000 Tl
0.3280 0.6720 0.5000 Tl
0.6720 0.3280 0.5000 Tl
0.1334 0.4338 0.7998 Se
0.2674 0.2674 0.2121 Se
0.4338 0.1334 0.7998 Se
0.5662 0.8666 0.2002 Se
0.7326 0.7326 0.7879 Se
0.8666 0.5662 0.2002 Se
```

Most intense lines, 5 to 70 degrees two-theta, in order of rising 2θ:
2θ (°)  I/Imax
23.1  8
24.6  8
25.5  16
28.9  100
31.2  11
39.7  36
42.8  34
52.5  17
59.9  7
65.6  8